Structure and simulated powder diffractogram of K4Rb8Hg (a cell relaxed with PBE; Cu Kα X-rays).
Peak positions follow from Bragg's law for the DFT cell and can differ from measured ones.

Structural model:
Unit cell a=7.120 b=7.124 c=20.336 alpha=90.00 beta=90.00 gamma=90.00
Positions (direct):
K 0.000 0.000 0.000
K 0.000 0.500 0.487
K 0.500 0.000 0.837
K 0.500 0.500 0.335
Rb 0.000 0.000 0.334
Rb 0.000 0.000 0.672
Rb 0.000 0.500 0.168
Rb 0.000 0.500 0.842
Rb 0.500 0.000 0.167
Rb 0.500 0.000 0.506
Rb 0.500 0.500 0.000
Rb 0.500 0.500 0.671
Hg 0.000 0.500 0.659

Top 12 peaks for 2θ = 10–80°, sorted by position:
- 2θ = 13.17°, I = 31, (0 1 1)
- 2θ = 15.19°, I = 21, (1 0 2)
- 2θ = 18.08°, I = 17, (0 1 3)
- 2θ = 21.99°, I = 100, (1 1 3)
- 2θ = 25.01°, I = 91, (2 0 0)
- 2θ = 26.30°, I = 39, (0 0 6)
- 2θ = 35.66°, I = 36, (2 2 0)
- 2θ = 36.60°, I = 63, (2 0 6)
- 2θ = 42.28°, I = 35, (3 1 3)
- 2θ = 43.93°, I = 19, (1 1 9)
- 2θ = 44.84°, I = 35, (2 2 6)
- 2θ = 64.67°, I = 23, (4 2 6)